# 1
Starting from DFT lattice parameters and positions (GGA-PBE), the powder diffractogram of Eu2AgGe was simulated for copper Kα.
No peak broadening, texture or thermal motion is included.

Crystal structure
```
data_Eu2AgGe
_cell_length_a 5.3150
_cell_length_b 5.3150
_cell_length_c 5.3150
_cell_angle_alpha 60.00
_cell_angle_beta 60.00
_cell_angle_gamma 60.00
_symmetry_space_group_name_H-M 'P 1'
_symmetry_Int_Tables_number 1
loop_
_symmetry_equiv_pos_as_xyz
'x,y,z'
loop_
_atom_site_label
_atom_site_fract_x
_atom_site_fract_y
_atom_site_fract_z
_atom_site_occupancy
Eu1 0.2500 0.2500 0.2500 1
Eu2 0.7500 0.7500 0.7500 1
Ag1 0.0000 0.0000 0.0000 1
Ge1 0.5000 0.5000 0.5000 1
```

Top 8 peaks for 5 to 70 degrees two-theta, low angle first:
- 20.5 deg, I 1
- 23.7 deg, I 7
- 33.7 deg, I 100
- 39.8 deg, I 1
- 41.6 deg, I 2
- 48.4 deg, I 18
- 54.6 deg, I 3
- 60.3 deg, I 36


# 2
Starting from DFT lattice parameters and positions (GGA-PBE), the powder diffractogram of Eu2AgHg was simulated for copper Kα.
No peak broadening, texture or thermal motion is included.

Crystal structure
```
data_Eu2AgHg
_cell_length_a 5.5159
_cell_length_b 5.5159
_cell_length_c 5.5159
_cell_angle_alpha 60.00
_cell_angle_beta 60.00
_cell_angle_gamma 60.00
_symmetry_space_group_name_H-M 'P 1'
_symmetry_Int_Tables_number 1
loop_
_symmetry_equiv_pos_as_xyz
'x,y,z'
loop_
_atom_site_label
_atom_site_fract_x
_atom_site_fract_y
_atom_site_fract_z
_atom_site_occupancy
Eu1 0.2500 0.2500 0.2500 1
Eu2 0.7500 0.7500 0.7500 1
Ag1 0.0000 0.0000 0.0000 1
Hg1 0.5000 0.5000 0.5000 1
```

Top 8 peaks for 5 to 70 degrees two-theta, low angle first:
- 19.7 deg, I 4
- 32.5 deg, I 100
- 38.3 deg, I 3
- 46.6 deg, I 18
- 51.0 deg, I 1
- 57.9 deg, I 38
- 61.8 deg, I 1
- 68.0 deg, I 12


# 3
Starting from DFT lattice parameters and positions (GGA-PBE), the powder diffractogram of EuAgHg2 was simulated for copper Kα.
No peak broadening, texture or thermal motion is included.

Crystal structure
```
data_EuAgHg2
_cell_length_a 5.2318
_cell_length_b 5.2318
_cell_length_c 5.2318
_cell_angle_alpha 60.00
_cell_angle_beta 60.00
_cell_angle_gamma 60.00
_symmetry_space_group_name_H-M 'P 1'
_symmetry_Int_Tables_number 1
loop_
_symmetry_equiv_pos_as_xyz
'x,y,z'
loop_
_atom_site_label
_atom_site_fract_x
_atom_site_fract_y
_atom_site_fract_z
_atom_site_occupancy
Eu1 0.0000 0.0000 0.0000 1
Ag1 0.5000 0.5000 0.5000 1
Hg1 0.2500 0.2500 0.2500 1
Hg2 0.7500 0.7500 0.7500 1
```

Top 7 peaks for 5 to 70 degrees two-theta, low angle first:
- 20.8 deg, I 1
- 24.1 deg, I 5
- 34.3 deg, I 100
- 42.3 deg, I 2
- 49.3 deg, I 18
- 55.5 deg, I 2
- 61.4 deg, I 37


# 4
Starting from DFT lattice parameters and positions (GGA-PBE), the powder diffractogram of EuInAg2 was simulated for copper Kα.
No peak broadening, texture or thermal motion is included.

Crystal structure
```
data_EuInAg2
_cell_length_a 5.1163
_cell_length_b 5.1163
_cell_length_c 5.1163
_cell_angle_alpha 60.00
_cell_angle_beta 60.00
_cell_angle_gamma 60.00
_symmetry_space_group_name_H-M 'P 1'
_symmetry_Int_Tables_number 1
loop_
_symmetry_equiv_pos_as_xyz
'x,y,z'
loop_
_atom_site_label
_atom_site_fract_x
_atom_site_fract_y
_atom_site_fract_z
_atom_site_occupancy
Eu1 0.0000 0.0000 0.0000 1
In1 0.5000 0.5000 0.5000 1
Ag1 0.2500 0.2500 0.2500 1
Ag2 0.7500 0.7500 0.7500 1
```

Top 6 peaks for 5 to 70 degrees two-theta, low angle first:
- 21.3 deg, I 1
- 24.6 deg, I 1
- 35.1 deg, I 100
- 41.4 deg, I 1
- 50.5 deg, I 17
- 62.9 deg, I 35